(1)
Computed PXRD pattern of Ho12CuPd6 for Cu Kα (weighted mean of Kα1 and Kα2), from DFT lattice parameters and positions (GGA-PBE).
Intensities are scaled so that the largest is 100.

Top 12 peaks for 2θ from 10° to 90°, low angle first:
2θ 22.8, d = 3.894 Å, rel. 38, hkl 3 -1 1
2θ 26.6, d = 3.346 Å, rel. 73, hkl 1 2 2
2θ 28.2, d = 3.167 Å, rel. 24, hkl 2 2 0
2θ 32.7, d = 2.742 Å, rel. 43, hkl 1 0 4
2θ 33.4, d = 2.680 Å, rel. 56, hkl 4 -1 2
2θ 37.6, d = 2.394 Å, rel. 100, hkl 4 1 0
2θ 38.5, d = 2.338 Å, rel. 74, hkl 3 -1 4
2θ 52.8, d = 1.734 Å, rel. 16, hkl 0 5 4
2θ 53.3, d = 1.719 Å, rel. 19, hkl 3 4 2
2θ 54.9, d = 1.673 Å, rel. 22, hkl 2 4 4
2θ 56.8, d = 1.621 Å, rel. 20, hkl 2 2 6
2θ 56.9, d = 1.617 Å, rel. 16, hkl 5 1 4

Structural model:
a b c (Å): 12.6688 12.6688 11.3256
angles (deg): 90.00 90.00 120.00
Space group R-3 (No. 148, hexagonal axes)
One atom of each set of equivalent atoms:
Ho: 0.0275 0.8167 0.3871 [18 per cell]
Ho: 0.0405 0.8358 0.8831 [18 per cell]
Cu: 0.0000 0.0000 0.0000 [3 per cell]
Pd: 0.0438 0.7783 0.6430 [18 per cell]



(2)
Computed PXRD pattern of Ho2Cu2Pd for Cu Kα (weighted mean of Kα1 and Kα2), from DFT lattice parameters and positions (GGA-PBE).
Intensities are scaled so that the largest is 100.

Top 12 peaks for 2θ from 10° to 90°, low angle first:
2θ 28.1, d = 3.173 Å, rel. 16, hkl 2 1 0
2θ 34.3, d = 2.615 Å, rel. 60, hkl 2 0 2
2θ 35.8, d = 2.509 Å, rel. 15, hkl 2 2 0
2θ 36.6, d = 2.454 Å, rel. 100, hkl 2 1 2
2θ 40.2, d = 2.244 Å, rel. 35, hkl 3 1 0
2θ 47.0, d = 1.935 Å, rel. 19, hkl 0 0 4
2θ 53.2, d = 1.721 Å, rel. 15, hkl 4 1 0
2θ 58.7, d = 1.572 Å, rel. 19, hkl 4 1 2
2θ 60.3, d = 1.535 Å, rel. 14, hkl 3 3 2
2θ 63.5, d = 1.465 Å, rel. 18, hkl 3 1 4
2θ 72.1, d = 1.309 Å, rel. 11, hkl 5 1 2
2θ 73.7, d = 1.286 Å, rel. 11, hkl 4 1 4

Structural model:
a b c (Å): 7.0957 7.0957 7.7397
angles (deg): 90.00 90.00 90.00
Space group P4/mnc (No. 128)
One atom of each set of equivalent atoms:
Ho: 0.1799 0.3195 0.0000 [8 per cell]
Cu: 0.1210 0.6210 0.2500 [8 per cell]
Pd: 0.0000 0.0000 0.2472 [4 per cell]



(3)
Computed PXRD pattern of HoCu5Pd7 for Cu Kα (weighted mean of Kα1 and Kα2), from DFT lattice parameters and positions (GGA-PBE).
Intensities are scaled so that the largest is 100.

Top 12 peaks for 2θ from 10° to 90°, low angle first:
2θ 35.1, d = 2.556 Å, rel. 38, hkl 1 0 3
2θ 35.6, d = 2.519 Å, rel. 62, hkl 1 3 0
2θ 35.8, d = 2.508 Å, rel. 45, hkl 2 0 0
2θ 40.5, d = 2.228 Å, rel. 47, hkl 0 0 4
2θ 40.9, d = 2.206 Å, rel. 71, hkl 1 2 3
2θ 41.2, d = 2.193 Å, rel. 100, hkl 1 3 2
2θ 41.3, d = 2.186 Å, rel. 81, hkl 0 4 0
2θ 41.5, d = 2.175 Å, rel. 38, hkl 2 2 0
2θ 45.7, d = 1.984 Å, rel. 34, hkl 0 2 4
2θ 46.5, d = 1.955 Å, rel. 73, hkl 2 2 2
2θ 74.1, d = 1.279 Å, rel. 47, hkl 2 0 6
2θ 75.5, d = 1.260 Å, rel. 24, hkl 2 6 0

Structural model:
a b c (Å): 5.0166 8.7407 8.9115
angles (deg): 90.00 90.00 90.00
Space group Imm2 (No. 44)
One atom of each set of equivalent atoms:
Ho: 0.0000 0.0000 0.0000 [2 per cell]
Cu: 0.0000 0.5000 0.2635 [2 per cell]
Cu: 0.2494 0.2536 0.2445 [8 per cell]
Pd: 0.0000 0.0000 0.3446 [2 per cell]
Pd: 0.0000 0.0000 0.6505 [2 per cell]
Pd: 0.0000 0.2984 0.4908 [4 per cell]
Pd: 0.0000 0.3428 0.9970 [4 per cell]
Pd: 0.0000 0.5000 0.7211 [2 per cell]



(4)
Computed PXRD pattern of Ho6CuPd5 for Cu Kα (weighted mean of Kα1 and Kα2), from DFT lattice parameters and positions (GGA-PBE).
Intensities are scaled so that the largest is 100.

Top 12 peaks for 2θ from 10° to 90°, low angle first:
2θ 25.5, d = 3.491 Å, rel. 6, hkl 2 0 1
2θ 36.4, d = 2.469 Å, rel. 100, hkl 6 0 0
2θ 45.0, d = 2.016 Å, rel. 2, hkl 6 2 0
2θ 52.4, d = 1.747 Å, rel. 12, hkl 4 0 2
2θ 52.5, d = 1.742 Å, rel. 6, hkl 0 4 0
2θ 65.5, d = 1.426 Å, rel. 24, hkl 0 2 3
2θ 65.6, d = 1.424 Å, rel. 12, hkl 6 4 0
2θ 77.2, d = 1.235 Å, rel. 4, hkl 4 0 -4
2θ 77.3, d = 1.234 Å, rel. 7, hkl 4 4 2
2θ 88.4, d = 1.105 Å, rel. 5, hkl 6 2 3
2θ 88.6, d = 1.104 Å, rel. 5, hkl 12 2 -3
2θ 88.8, d = 1.102 Å, rel. 5, hkl 2 6 1

Structural model:
a b c (Å): 15.6187 6.9697 4.9428
angles (deg): 90.00 108.38 90.00
Space group C2/m (No. 12)
One atom of each set of equivalent atoms:
Ho: 0.0000 0.2501 0.0000 [4 per cell]
Ho: 0.1659 0.2501 0.6660 [8 per cell]
Cu: 0.0000 0.0000 0.5000 [2 per cell]
Pd: 0.0000 0.5000 0.5000 [2 per cell]
Pd: 0.1664 0.0000 0.1662 [4 per cell]
Pd: 0.1688 0.5000 0.1689 [4 per cell]



(5)
Computed PXRD pattern of Ho3Cu2Pd5 for Cu Kα (weighted mean of Kα1 and Kα2), from DFT lattice parameters and positions (GGA-PBE).
Intensities are scaled so that the largest is 100.

Top 12 peaks for 2θ from 10° to 90°, low angle first:
2θ 30.8, d = 2.908 Å, rel. 32, hkl 2 1 1
2θ 34.8, d = 2.575 Å, rel. 25, hkl 2 2 1
2θ 37.3, d = 2.408 Å, rel. 100, hkl 3 1 1
2θ 38.7, d = 2.329 Å, rel. 39, hkl 4 1 0
2θ 40.9, d = 2.209 Å, rel. 29, hkl 3 2 1
2θ 42.1, d = 2.148 Å, rel. 20, hkl 4 2 0
2θ 45.9, d = 1.975 Å, rel. 26, hkl 0 0 2
2θ 61.6, d = 1.506 Å, rel. 20, hkl 4 1 2
2θ 62.6, d = 1.484 Å, rel. 10, hkl 6 0 1
2θ 64.0, d = 1.454 Å, rel. 11, hkl 4 2 2
2θ 66.7, d = 1.402 Å, rel. 9, hkl 5 4 1
2θ 79.3, d = 1.208 Å, rel. 11, hkl 3 1 3

Structural model:
a b c (Å): 9.6042 9.6042 3.9503
angles (deg): 90.00 90.00 90.00
Space group P4/mbm (No. 127)
One atom of each set of equivalent atoms:
Ho: 0.0000 0.0000 0.0000 [2 per cell]
Ho: 0.1732 0.3268 0.0000 [4 per cell]
Cu: 0.1198 0.6198 0.0000 [4 per cell]
Pd: 0.0000 0.5000 0.5000 [2 per cell]
Pd: 0.0741 0.7893 0.5000 [8 per cell]



(6)
Computed PXRD pattern of HoCu9Pd2 for Cu Kα (weighted mean of Kα1 and Kα2), from DFT lattice parameters and positions (GGA-PBE).
Intensities are scaled so that the largest is 100.

Top 12 peaks for 2θ from 10° to 90°, low angle first:
2θ 33.8, d = 2.653 Å, rel. 27, hkl 1 0 7
2θ 36.4, d = 2.468 Å, rel. 38, hkl 1 1 0
2θ 36.9, d = 2.434 Å, rel. 22, hkl 0 1 8
2θ 42.5, d = 2.129 Å, rel. 32, hkl 0 2 1
2θ 43.0, d = 2.104 Å, rel. 11, hkl 2 0 2
2θ 43.2, d = 2.093 Å, rel. 100, hkl 1 1 6
2θ 46.0, d = 1.974 Å, rel. 19, hkl 0 0 12
2θ 46.6, d = 1.948 Å, rel. 13, hkl 2 0 5
2θ 63.8, d = 1.458 Å, rel. 9, hkl 2 1 7
2θ 70.2, d = 1.340 Å, rel. 22, hkl 0 3 6
2θ 70.8, d = 1.330 Å, rel. 7, hkl 1 1 15
2θ 77.3, d = 1.234 Å, rel. 19, hkl 2 2 0

Structural model:
a b c (Å): 4.9366 4.9366 23.6864
angles (deg): 90.00 90.00 120.00
Space group R-3m (No. 166, hexagonal axes)
One atom of each set of equivalent atoms:
Ho: 0.0000 0.0000 0.0000 [3 per cell]
Cu: 0.0000 0.0000 0.3341 [6 per cell]
Cu: 0.0000 0.0000 0.5000 [3 per cell]
Cu: 0.0054 0.5027 0.9139 [18 per cell]
Pd: 0.0000 0.0000 0.1447 [6 per cell]



(7)
Computed PXRD pattern of Ho3Cu2Pd for Cu Kα (weighted mean of Kα1 and Kα2), from DFT lattice parameters and positions (GGA-PBE).
Intensities are scaled so that the largest is 100.

Top 10 peaks for 2θ from 10° to 90°, low angle first:
2θ 20.9, d = 4.249 Å, rel. 1, hkl 1 0 0
2θ 25.7, d = 3.469 Å, rel. 14, hkl 1 0 1
2θ 36.6, d = 2.453 Å, rel. 100, hkl 1 1 0
2θ 45.3, d = 2.003 Å, rel. 4, hkl 0 0 3
2θ 52.8, d = 1.735 Å, rel. 17, hkl 2 0 2
2θ 59.6, d = 1.552 Å, rel. 6, hkl 1 1 3
2θ 66.0, d = 1.416 Å, rel. 35, hkl 3 0 0
2θ 77.9, d = 1.227 Å, rel. 11, hkl 2 2 0
2θ 83.6, d = 1.156 Å, rel. 3, hkl 0 1 5
2θ 89.3, d = 1.097 Å, rel. 16, hkl 3 1 2

Structural model:
a b c (Å): 4.9059 4.9059 6.0104
angles (deg): 90.00 90.00 120.00
Space group P-3m1 (No. 164)
One atom of each set of equivalent atoms:
Ho: 0.0000 0.0000 0.0000 [1 per cell]
Ho: 0.3333 0.6667 0.6664 [2 per cell]
Cu: 0.3333 0.6667 0.1571 [2 per cell]
Pd: 0.0000 0.0000 0.5000 [1 per cell]



(8)
Computed PXRD pattern of HoZn5Cu2Pd for Cu Kα (weighted mean of Kα1 and Kα2), from DFT lattice parameters and positions (GGA-PBE).
Intensities are scaled so that the largest is 100.

Top 12 peaks for 2θ from 10° to 90°, low angle first:
2θ 27.2, d = 3.279 Å, rel. 16, hkl 1 1 0
2θ 30.1, d = 2.968 Å, rel. 10, hkl 1 1 1
2θ 32.1, d = 2.791 Å, rel. 39, hkl 1 0 2
2θ 37.6, d = 2.391 Å, rel. 100, hkl 1 1 2
2θ 38.6, d = 2.330 Å, rel. 18, hkl 0 0 3
2θ 38.8, d = 2.319 Å, rel. 97, hkl 2 0 0
2θ 51.2, d = 1.783 Å, rel. 21, hkl 2 1 2
2θ 56.0, d = 1.643 Å, rel. 23, hkl 2 0 3
2θ 56.1, d = 1.639 Å, rel. 32, hkl 2 2 0
2θ 67.1, d = 1.395 Å, rel. 11, hkl 2 0 4
2θ 69.5, d = 1.352 Å, rel. 31, hkl 3 1 2
2θ 70.2, d = 1.341 Å, rel. 11, hkl 2 2 3

Structural model:
a b c (Å): 4.6370 4.6370 6.9893
angles (deg): 90.00 90.00 90.00
Space group P4/mmm (No. 123)
One atom of each set of equivalent atoms:
Ho: 0.0000 0.0000 0.0000 [1 per cell]
Zn: 0.0000 0.5000 0.2902 [4 per cell]
Zn: 0.5000 0.5000 0.0000 [1 per cell]
Cu: 0.5000 0.5000 0.3360 [2 per cell]
Pd: 0.0000 0.0000 0.5000 [1 per cell]



(9)
Computed PXRD pattern of Pm3Ho3CuS8 for Cu Kα (weighted mean of Kα1 and Kα2), from DFT lattice parameters and positions (GGA-PBE).
Intensities are scaled so that the largest is 100.

Top 12 peaks for 2θ from 10° to 90°, low angle first:
2θ 16.0, d = 5.552 Å, rel. 20, hkl 0 1 2
2θ 27.7, d = 3.222 Å, rel. 16, hkl 0 0 6
2θ 27.9, d = 3.200 Å, rel. 48, hkl 2 0 2
2θ 32.2, d = 2.776 Å, rel. 100, hkl 0 2 4
2θ 46.1, d = 1.968 Å, rel. 36, hkl 2 0 8
2θ 46.4, d = 1.958 Å, rel. 36, hkl 2 2 0
2θ 54.9, d = 1.673 Å, rel. 16, hkl 2 2 6
2θ 57.6, d = 1.600 Å, rel. 18, hkl 4 0 4
2θ 67.5, d = 1.388 Å, rel. 11, hkl 0 4 8
2θ 76.6, d = 1.244 Å, rel. 15, hkl 2 2 12
2θ 76.9, d = 1.239 Å, rel. 16, hkl 2 4 4
2θ 85.8, d = 1.132 Å, rel. 12, hkl 4 2 8

Structural model:
a b c (Å): 7.8327 7.8327 19.3318
angles (deg): 90.00 90.00 120.00
Space group R-3m (No. 166, hexagonal axes)
One atom of each set of equivalent atoms:
Pm: 0.0000 0.5000 0.0000 [9 per cell]
Ho: 0.0000 0.5000 0.5000 [9 per cell]
Cu: 0.0000 0.0000 0.5000 [3 per cell]
S: 0.0000 0.0000 0.2461 [6 per cell]
S: 0.0038 0.5019 0.2450 [18 per cell]



(10)
Computed PXRD pattern of PmHoCu2Si2 for Cu Kα (weighted mean of Kα1 and Kα2), from DFT lattice parameters and positions (GGA-PBE).
Intensities are scaled so that the largest is 100.

Top 12 peaks for 2θ from 10° to 90°, low angle first:
2θ 24.6, d = 3.620 Å, rel. 31, hkl 1 0 0
2θ 27.3, d = 3.267 Å, rel. 5, hkl 0 1 1
2θ 34.2, d = 2.618 Å, rel. 100, hkl 0 1 2
2θ 43.3, d = 2.090 Å, rel. 40, hkl 1 1 0
2θ 48.0, d = 1.896 Å, rel. 9, hkl 0 0 4
2θ 50.4, d = 1.810 Å, rel. 5, hkl 2 0 0
2θ 54.7, d = 1.679 Å, rel. 8, hkl 1 0 4
2θ 56.3, d = 1.633 Å, rel. 24, hkl 2 0 2
2θ 66.6, d = 1.404 Å, rel. 21, hkl 1 1 4
2θ 73.6, d = 1.287 Å, rel. 21, hkl 1 2 2
2θ 79.4, d = 1.207 Å, rel. 7, hkl 3 0 0
2θ 80.5, d = 1.193 Å, rel. 8, hkl 0 1 6

Structural model:
a b c (Å): 4.1798 4.1798 7.5832
angles (deg): 90.00 90.00 120.00
Space group P-3m1 (No. 164)
One atom of each set of equivalent atoms:
Pm: 0.0000 0.0000 0.0000 [1 per cell]
Ho: 0.0000 0.0000 0.5000 [1 per cell]
Cu: 0.3333 0.6667 0.7360 [2 per cell]
Si: 0.3333 0.6667 0.2593 [2 per cell]



(11)
Computed PXRD pattern of PrHoCu2S4 for Cu Kα (weighted mean of Kα1 and Kα2), from DFT lattice parameters and positions (GGA-PBE).
Intensities are scaled so that the largest is 100.

Top 12 peaks for 2θ from 10° to 90°, low angle first:
2θ 17.5, d = 5.054 Å, rel. 12, hkl 0 1 1
2θ 19.0, d = 4.680 Å, rel. 29, hkl 1 1 0
2θ 26.5, d = 3.367 Å, rel. 24, hkl 0 2 0
2θ 27.4, d = 3.254 Å, rel. 20, hkl 2 0 0
2θ 30.2, d = 2.961 Å, rel. 100, hkl 1 1 2
2θ 35.5, d = 2.527 Å, rel. 23, hkl 0 2 2
2θ 36.2, d = 2.478 Å, rel. 23, hkl 2 0 2
2θ 38.5, d = 2.340 Å, rel. 55, hkl 2 2 0
2θ 49.1, d = 1.856 Å, rel. 26, hkl 1 3 2
2θ 50.2, d = 1.817 Å, rel. 24, hkl 3 1 2
2θ 51.6, d = 1.770 Å, rel. 22, hkl 1 1 4
2θ 64.5, d = 1.444 Å, rel. 11, hkl 3 3 2

Structural model:
a b c (Å): 6.5083 6.7345 7.6486
angles (deg): 90.00 90.00 90.00
Space group I222 (No. 23)
One atom of each set of equivalent atoms:
Pr: 0.0000 0.0000 0.0000 [2 per cell]
Ho: 0.0000 0.0000 0.5000 [2 per cell]
Cu: 0.0000 0.5000 0.1689 [4 per cell]
S: 0.2449 0.2174 0.3021 [8 per cell]



(12)
Computed PXRD pattern of PrHo2Cu2Si2 for Cu Kα (weighted mean of Kα1 and Kα2), from DFT lattice parameters and positions (GGA-PBE).
Intensities are scaled so that the largest is 100.

Top 12 peaks for 2θ from 10° to 90°, low angle first:
2θ 24.4, d = 3.644 Å, rel. 53, hkl 1 0 1
2θ 27.4, d = 3.261 Å, rel. 33, hkl 1 0 4
2θ 32.9, d = 2.718 Å, rel. 100, hkl 1 0 7
2θ 35.2, d = 2.548 Å, rel. 90, hkl 0 1 8
2θ 42.6, d = 2.122 Å, rel. 87, hkl 1 1 0
2θ 48.3, d = 1.885 Å, rel. 16, hkl 0 0 15
2θ 54.9, d = 1.673 Å, rel. 23, hkl 0 2 7
2θ 56.4, d = 1.630 Å, rel. 23, hkl 2 0 8
2θ 66.3, d = 1.409 Å, rel. 36, hkl 1 1 15
2θ 71.9, d = 1.313 Å, rel. 20, hkl 2 1 7
2θ 73.2, d = 1.293 Å, rel. 21, hkl 1 2 8
2θ 78.0, d = 1.225 Å, rel. 14, hkl 3 0 0

Structural model:
a b c (Å): 4.2432 4.2432 28.2799
angles (deg): 90.00 90.00 120.00
Space group R-3m (No. 166, hexagonal axes)
One atom of each set of equivalent atoms:
Pr: 0.0000 0.0000 0.0000 [3 per cell]
Ho: 0.0000 0.0000 0.1280 [6 per cell]
Cu: 0.0000 0.0000 0.4058 [6 per cell]
Si: 0.0000 0.0000 0.2590 [6 per cell]



(13)
Computed PXRD pattern of HoCu4Pt4 for Cu Kα (weighted mean of Kα1 and Kα2), from DFT lattice parameters and positions (GGA-PBE).
Intensities are scaled so that the largest is 100.

Top 12 peaks for 2θ from 10° to 90°, low angle first:
2θ 15.8, d = 5.620 Å, rel. 21, hkl 1 1 0
2θ 22.3, d = 3.979 Å, rel. 16, hkl 2 0 0
2θ 31.8, d = 2.813 Å, rel. 31, hkl 2 1 1
2θ 35.7, d = 2.514 Å, rel. 43, hkl 3 1 0
2θ 39.2, d = 2.298 Å, rel. 100, hkl 0 0 2
2θ 45.6, d = 1.988 Å, rel. 63, hkl 2 3 1
2θ 51.4, d = 1.777 Å, rel. 13, hkl 2 4 0
2θ 54.0, d = 1.697 Å, rel. 26, hkl 3 1 2
2θ 66.4, d = 1.407 Å, rel. 13, hkl 2 4 2
2θ 75.5, d = 1.259 Å, rel. 13, hkl 2 3 3
2θ 75.7, d = 1.257 Å, rel. 24, hkl 2 6 0
2θ 80.1, d = 1.198 Å, rel. 14, hkl 5 4 1

Structural model:
a b c (Å): 7.9484 7.9484 4.6013
angles (deg): 90.00 90.00 90.00
Space group P4_2/n (No. 86, origin choice 2)
One atom of each set of equivalent atoms:
Ho: 0.2500 0.2500 0.2500 [2 per cell]
Cu: 0.0289 0.1284 0.7488 [8 per cell]
Pt: 0.1003 0.8204 0.7514 [8 per cell]